Structure and theoretical XRD peak list of BaMgP2O7 (a DFT-relaxed cell (PBE, the Materials Project); a wavelength of 1.5418 Å).

Most intense lines, 2θ = 15–90°, in order of rising 2θ:
- hkl 1 0 2, 2θ = 25.8°, rel. 54
- hkl 1 2 -1, 2θ = 26.1°, rel. 100
- hkl 1 1 2, 2θ = 27.8°, rel. 40
- hkl 1 1 -4, 2θ = 28.5°, rel. 61
- hkl 1 2 1, 2θ = 29.4°, rel. 92
- hkl 1 2 -3, 2θ = 29.8°, rel. 75
- hkl 2 0 -2, 2θ = 32.3°, rel. 67
- hkl 1 1 3, 2θ = 33.3°, rel. 49
- hkl 1 1 -5, 2θ = 34.0°, rel. 44
- hkl 2 2 -3, 2θ = 39.4°, rel. 40

```
BaMgP2O7
1.0
5.553 0.000 0.000
0.000 8.651 0.000
-5.224 0.000 12.946
Ba Mg P O
4 4 8 28
direct
0.058 0.127 0.297
0.058 0.373 0.797
0.942 0.627 0.203
0.942 0.873 0.703
0.334 0.166 0.622
0.334 0.334 0.122
0.666 0.666 0.878
0.666 0.834 0.378
0.302 0.686 0.018
0.302 0.814 0.518
0.402 0.562 0.670
0.402 0.938 0.170
0.598 0.062 0.830
0.598 0.438 0.330
0.698 0.186 0.482
0.698 0.314 0.982
0.066 0.660 0.919
0.066 0.840 0.419
0.255 0.643 0.558
0.255 0.857 0.058
0.301 0.636 0.749
0.301 0.864 0.249
0.306 0.096 0.793
0.306 0.404 0.293
0.318 0.575 0.107
0.318 0.925 0.607
0.325 0.107 0.154
0.325 0.393 0.654
0.440 0.190 0.498
0.440 0.310 0.998
0.560 0.690 0.002
0.560 0.810 0.502
0.675 0.607 0.346
0.675 0.893 0.846
0.682 0.075 0.393
0.682 0.425 0.893
0.694 0.596 0.707
0.694 0.904 0.207
0.699 0.136 0.751
0.699 0.364 0.251
0.745 0.143 0.942
0.745 0.357 0.442
0.934 0.160 0.581
0.934 0.340 0.081
```

=====

Structure and theoretical XRD peak list of Li3Cu3P2O8 (a DFT-relaxed cell (PBE, the Materials Project); a wavelength of 1.5418 Å).

Most intense lines, 2θ = 15–90°, in order of rising 2θ:
- hkl 1 -1 0, 2θ = 21.8°, rel. 32
- hkl 0 1 -2, 2θ = 22.6°, rel. 30
- hkl 1 2 0, 2θ = 33.0°, rel. 100
- hkl 1 -2 0, 2θ = 33.3°, rel. 42
- hkl 0 0 4, 2θ = 35.3°, rel. 94
- hkl 2 0 2, 2θ = 37.4°, rel. 30
- hkl 1 2 2, 2θ = 37.6°, rel. 80
- hkl 1 -2 2, 2θ = 37.8°, rel. 62
- hkl 3 2 0, 2θ = 58.7°, rel. 29
- hkl 1 -2 6, 2θ = 64.9°, rel. 37

```
Li3Cu3P2O8
1.0
5.439 0.000 0.000
0.050 6.227 0.000
0.055 0.001 10.177
Li Cu P O
6 6 4 16
direct
0.000 0.000 0.000
0.001 0.999 0.499
0.172 0.250 0.748
0.175 0.245 0.251
0.517 0.253 0.500
0.691 0.501 0.251
0.177 0.752 0.747
0.181 0.758 0.250
0.507 0.262 0.996
0.507 0.738 0.999
0.507 0.743 0.501
0.667 0.503 0.751
0.020 0.491 0.494
0.022 0.495 0.000
0.676 0.006 0.249
0.678 0.008 0.744
0.022 0.488 0.341
0.026 0.487 0.847
0.139 0.706 0.543
0.147 0.709 0.045
0.151 0.290 0.057
0.161 0.293 0.549
0.522 0.206 0.792
0.530 0.205 0.301
0.545 0.803 0.795
0.550 0.793 0.296
0.680 0.009 0.591
0.687 0.005 0.096
0.747 0.485 0.542
0.757 0.500 0.058
0.941 0.015 0.800
0.943 0.013 0.305
```